# 1
Computed X-ray powder pattern
Compound: Sb2O5
Radiation: Cu Kα
Structure: a cell relaxed with PBE

Principal peaks in the range 5° ≤ 2θ ≤ 70°, in order of falling intensity:
hkl, d/Å, two_theta, Rel. int.
1 2 0, 3.196, 27.92, 100
0 0 1, 3.788, 23.49, 86
1 2 1, 2.442, 36.80, 57
2 0 0, 3.169, 28.16, 43
1 2 2, 1.629, 56.48, 27
2 0 1, 2.431, 36.99, 26
3 2 1, 1.651, 55.66, 25
3 2 0, 1.835, 49.69, 21
0 0 2, 1.894, 48.04, 18
2 4 1, 1.472, 63.16, 15

Crystal structure
Unit cell a=6.3381 b=7.4009 c=3.7876 alpha=90.00 beta=90.00 gamma=90.00
Space group Pbam (No. 55)
Symmetry-distinct sites (fractional):
Sb: 0.2263 0.1154 0.0000 (multiplicity 4)
O: 0.0000 0.5000 0.0000 (multiplicity 2)
O: 0.1069 0.8570 0.0000 (multiplicity 4)
O: 0.1907 0.1601 0.5000 (multiplicity 4)

# 2
Computed X-ray powder pattern
Compound: NaNpMn4S8
Radiation: Cu Kα
Structure: a cell relaxed with PBE

Principal peaks in the range 5° ≤ 2θ ≤ 70°, in order of falling intensity:
hkl, d/Å, two_theta, Rel. int.
1 0 1, 6.066, 14.60, 100
1 1 3, 3.184, 28.03, 80
0 2 4, 2.645, 33.89, 68
0 1 5, 3.233, 27.59, 39
2 2 0, 1.851, 49.23, 37
2 0 8, 1.890, 48.15, 36
0 1 2, 5.290, 16.76, 34
1 1 0, 3.702, 24.04, 33
1 2 5, 2.034, 44.54, 28
0 3 3, 2.022, 44.82, 23

Crystal structure
Unit cell a=7.4040 b=7.4040 c=18.7184 alpha=90.00 beta=90.00 gamma=120.00
Space group R3m (No. 160, hexagonal axes)
Symmetry-distinct sites (fractional):
Na: 0.0000 0.0000 0.0000 (multiplicity 3)
Np: 0.0000 0.0000 0.3654 (multiplicity 3)
Mn: 0.0000 0.0000 0.7365 (multiplicity 3)
Mn: 0.0077 0.5039 0.8678 (multiplicity 9)
S: 0.0000 0.0000 0.1361 (multiplicity 3)
S: 0.0000 0.0000 0.6045 (multiplicity 3)
S: 0.0100 0.5050 0.1237 (multiplicity 9)
S: 0.1811 0.3623 0.9389 (multiplicity 9)

# 3
Computed X-ray powder pattern
Compound: Ac5Tl2Rh4
Radiation: Cu Kα
Structure: a cell relaxed with PBE

Principal peaks in the range 5° ≤ 2θ ≤ 70°, in order of falling intensity:
hkl, d/Å, two_theta, Rel. int.
6 0 1, 3.035, 29.43, 100
4 0 -3, 2.499, 35.94, 95
1 1 2, 2.841, 31.50, 91
6 0 -1, 3.343, 26.67, 68
7 1 1, 2.262, 39.84, 66
0 2 0, 2.125, 42.53, 66
3 1 -1, 3.387, 26.31, 61
2 0 1, 5.955, 14.88, 59
3 1 -2, 2.776, 32.24, 58
3 1 2, 2.594, 34.58, 55

Crystal structure
Unit cell a=20.9792 b=4.2509 c=8.0312 alpha=90.00 beta=97.56 gamma=90.00
Space group C2/m (No. 12)
Symmetry-distinct sites (fractional):
Ac: 0.0000 0.0000 0.0000 (multiplicity 2)
Ac: 0.0958 0.5000 0.4464 (multiplicity 4)
Ac: 0.1651 0.5000 0.9293 (multiplicity 4)
Tl: 0.2388 0.0000 0.6448 (multiplicity 4)
Rh: 0.0288 0.5000 0.7718 (multiplicity 4)
Rh: 0.1095 0.0000 0.7105 (multiplicity 4)

# 4
Computed X-ray powder pattern
Compound: AlSnH
Radiation: Cu Kα
Structure: a cell relaxed with PBE

Principal peaks in the range 5° ≤ 2θ ≤ 70°, in order of falling intensity:
hkl, d/Å, two_theta, Rel. int.
0 1 -1, 4.231, 20.99, 100
0 0 2, 4.710, 18.84, 91
0 0 1, 9.419, 9.39, 86
1 1 1, 2.294, 39.28, 65
-1 1 2, 2.279, 39.54, 64
0 1 1, 3.586, 24.83, 50
0 1 -2, 3.558, 25.03, 46
1 0 1, 2.907, 30.76, 42
1 0 -2, 2.880, 31.05, 38
1 -1 2, 2.288, 39.39, 35

Crystal structure
Unit cell a=3.2602 b=4.3428 c=9.7676 alpha=102.35 beta=98.93 gamma=90.18
Space group P-1 (No. 2)
Symmetry-distinct sites (fractional):
Al: 0.2341 0.2329 0.4654 (multiplicity 2)
Sn: 0.1397 0.6361 0.2675 (multiplicity 2)
H: 0.4794 0.9865 0.0353 (multiplicity 2)

# 5
Computed X-ray powder pattern
Compound: Na5Cd4
Radiation: Cu Kα
Structure: a cell relaxed with PBE

Principal peaks in the range 5° ≤ 2θ ≤ 70°, in order of falling intensity:
hkl, d/Å, two_theta, Rel. int.
3 1 -1, 2.776, 32.25, 100
2 0 -1, 4.840, 18.33, 99
1 1 0, 4.549, 19.51, 98
1 1 3, 2.547, 35.24, 95
0 2 0, 2.594, 34.58, 54
1 1 -4, 2.347, 38.35, 47
1 1 -1, 4.375, 20.30, 33
2 2 -1, 2.286, 39.41, 28
3 1 2, 2.171, 41.60, 25
2 0 3, 2.439, 36.86, 23

Crystal structure
Unit cell a=9.8619 b=5.1876 c=10.5286 alpha=90.00 beta=106.34 gamma=90.00
Space group C2/m (No. 12)
Symmetry-distinct sites (fractional):
Na: 0.0000 0.0000 0.0000 (multiplicity 2)
Na: 0.1221 0.0000 0.4170 (multiplicity 4)
Na: 0.2150 0.5000 0.2279 (multiplicity 4)
Cd: 0.0775 0.5000 0.6362 (multiplicity 4)
Cd: 0.1648 0.5000 0.9224 (multiplicity 4)

# 6
Computed X-ray powder pattern
Compound: Pr4Pt3
Radiation: Cu Kα
Structure: a cell relaxed with PBE

Principal peaks in the range 5° ≤ 2θ ≤ 70°, in order of falling intensity:
hkl, d/Å, two_theta, Rel. int.
1 3 1, 2.937, 30.44, 100
1 2 2, 2.851, 31.37, 57
3 1 2, 2.437, 36.89, 31
2 1 1, 3.766, 23.62, 24
1 1 3, 2.356, 38.20, 22
4 3 1, 1.833, 49.75, 22
6 0 0, 1.915, 47.47, 18
2 2 3, 2.007, 45.19, 18
4 1 0, 2.508, 35.81, 14
5 0 2, 1.964, 46.23, 13

Crystal structure
Unit cell a=13.2688 b=13.2688 c=7.5602 alpha=90.00 beta=90.00 gamma=120.00
Space group R-3c (No. 167, hexagonal axes)
Symmetry-distinct sites (fractional):
Pr: 0.0000 0.0000 0.0000 (multiplicity 6)
Pr: 0.0000 0.4474 0.2500 (multiplicity 18)
Pt: 0.0000 0.1841 0.2500 (multiplicity 18)

# 7
Computed X-ray powder pattern
Compound: Ba4LaS5
Radiation: Cu Kα
Structure: a cell relaxed with PBE

Principal peaks in the range 5° ≤ 2θ ≤ 70°, in order of falling intensity:
hkl, d/Å, two_theta, Rel. int.
0 0 2, 3.159, 28.25, 100
1 3 2, 2.234, 40.38, 73
2 1 1, 3.647, 24.40, 67
5 0 1, 1.905, 47.75, 36
4 2 2, 1.824, 50.01, 26
1 3 4, 1.413, 66.13, 22
6 3 1, 1.449, 64.27, 15
7 1 0, 1.412, 66.19, 11
2 6 0, 1.578, 58.47, 8
0 0 4, 1.581, 58.36, 4

Crystal structure
Unit cell a=9.9829 b=9.9829 c=6.3248 alpha=90.00 beta=90.00 gamma=90.00
Space group I4 (No. 79)
Symmetry-distinct sites (fractional):
Ba: 0.0969 0.3002 0.0000 (multiplicity 8)
La: 0.0000 0.0000 0.4995 (multiplicity 2)
S: 0.0000 0.0000 0.0005 (multiplicity 2)
S: 0.0939 0.2808 0.5000 (multiplicity 8)

# 8
Computed X-ray powder pattern
Compound: Pu3BiPd2
Radiation: Cu Kα
Structure: a cell relaxed with PBE

Principal peaks in the range 5° ≤ 2θ ≤ 70°, in order of falling intensity:
hkl, d/Å, two_theta, Rel. int.
1 1 3, 3.281, 27.18, 100
1 1 6, 2.520, 35.63, 75
3 0 0, 2.161, 41.80, 44
0 1 8, 2.380, 37.80, 28
1 1 9, 1.942, 46.77, 24
2 1 1, 2.433, 36.95, 19
2 2 6, 1.640, 56.06, 18
2 0 2, 3.090, 28.90, 18
3 1 8, 1.471, 63.21, 17
1 2 5, 2.102, 43.03, 13

Crystal structure
Unit cell a=7.4859 b=7.4859 c=20.4474 alpha=90.00 beta=90.00 gamma=120.00
Space group R-3c (No. 167, hexagonal axes)
Symmetry-distinct sites (fractional):
Pu: 0.0000 0.2783 0.2500 (multiplicity 18)
Bi: 0.0000 0.0000 0.0000 (multiplicity 6)
Pd: 0.0000 0.0000 0.1461 (multiplicity 12)

# 9
Computed X-ray powder pattern
Compound: Dy4CdAg2Ru
Radiation: Cu Kα
Structure: a cell relaxed with PBE

Principal peaks in the range 5° ≤ 2θ ≤ 70°, in order of falling intensity:
hkl, d/Å, two_theta, Rel. int.
1 1 0, 2.555, 35.12, 100
0 1 8, 2.536, 35.39, 84
1 2 8, 1.471, 63.19, 30
2 0 8, 1.800, 50.72, 30
3 0 0, 1.475, 63.02, 18
1 0 16, 1.461, 63.71, 9
1 0 7, 2.763, 32.40, 8
1 1 15, 1.386, 67.56, 7
1 0 4, 3.600, 24.73, 7
1 1 9, 1.872, 48.63, 6

Crystal structure
Unit cell a=5.1099 b=5.1099 c=24.7594 alpha=90.00 beta=90.00 gamma=120.00
Space group R-3m (No. 166, hexagonal axes)
Symmetry-distinct sites (fractional):
Dy: 0.0000 0.0000 0.1148 (multiplicity 6)
Dy: 0.0000 0.0000 0.3672 (multiplicity 6)
Cd: 0.0000 0.0000 0.5000 (multiplicity 3)
Ag: 0.0000 0.0000 0.2424 (multiplicity 6)
Ru: 0.0000 0.0000 0.0000 (multiplicity 3)

# 10
Computed X-ray powder pattern
Compound: NiP2RhS
Radiation: Cu Kα
Structure: a cell relaxed with PBE

Principal peaks in the range 5° ≤ 2θ ≤ 70°, in order of falling intensity:
hkl, d/Å, two_theta, Rel. int.
1 0 4, 2.638, 33.98, 100
1 1 0, 1.721, 53.21, 38
0 0 6, 3.776, 23.56, 38
1 0 7, 2.193, 41.16, 22
1 0 10, 1.804, 50.60, 20
0 1 2, 2.883, 31.02, 20
0 1 8, 2.053, 44.10, 19
0 1 11, 1.695, 54.12, 18
1 1 6, 1.566, 58.97, 17
0 2 4, 1.442, 64.65, 14

Crystal structure
Unit cell a=3.4429 b=3.4429 c=22.6557 alpha=90.00 beta=90.00 gamma=120.00
Space group R3m (No. 160, hexagonal axes)
Symmetry-distinct sites (fractional):
Ni: 0.0000 0.0000 0.0000 (multiplicity 3)
P: 0.0000 0.0000 0.1932 (multiplicity 3)
P: 0.0000 0.0000 0.2901 (multiplicity 3)
Rh: 0.0000 0.0000 0.4800 (multiplicity 3)
S: 0.0000 0.0000 0.7273 (multiplicity 3)

# 11
Computed X-ray powder pattern
Compound: Na3SiO3
Radiation: Cu Kα
Structure: a cell relaxed with PBE

Principal peaks in the range 5° ≤ 2θ ≤ 70°, in order of falling intensity:
hkl, d/Å, two_theta, Rel. int.
0 0 1, 7.393, 11.97, 100
1 3 -1, 3.039, 29.39, 55
1 1 1, 3.786, 23.50, 53
2 2 -2, 2.458, 36.56, 38
0 2 2, 3.062, 29.16, 34
1 1 0, 5.179, 17.12, 34
0 2 0, 5.469, 16.21, 29
3 1 -1, 2.023, 44.81, 26
1 1 2, 2.684, 33.39, 17
1 1 -3, 2.505, 35.85, 17

Crystal structure
Unit cell a=6.1815 b=10.9379 c=7.7713 alpha=90.00 beta=107.96 gamma=90.00
Space group C2/m (No. 12)
Symmetry-distinct sites (fractional):
Na: 0.0000 0.1769 0.0000 (multiplicity 4)
Na: 0.0000 0.2594 0.5000 (multiplicity 4)
Na: 0.0402 0.5000 0.7987 (multiplicity 4)
Si: 0.1066 0.0000 0.3873 (multiplicity 4)
O: 0.1741 0.0000 0.6206 (multiplicity 4)
O: 0.1900 0.1255 0.3177 (multiplicity 8)

# 12
Computed X-ray powder pattern
Compound: Cs2PHBr6
Radiation: Cu Kα
Structure: a cell relaxed with PBE

Principal peaks in the range 5° ≤ 2θ ≤ 70°, in order of falling intensity:
hkl, d/Å, two_theta, Rel. int.
2 0 2, 3.076, 29.03, 100
2 2 0, 2.527, 35.53, 36
2 2 4, 1.938, 46.88, 26
4 2 2, 1.545, 59.87, 25
0 0 4, 3.020, 29.58, 25
4 0 0, 1.787, 51.12, 12
2 0 6, 1.754, 52.14, 12
4 0 4, 1.538, 60.17, 12
1 1 2, 3.876, 22.94, 8
1 0 1, 6.151, 14.40, 5

Crystal structure
Unit cell a=7.1470 b=7.1470 c=12.0810 alpha=90.00 beta=90.00 gamma=90.00
Space group I4/mmm (No. 139)
Symmetry-distinct sites (fractional):
Cs: 0.0000 0.5000 0.2500 (multiplicity 4)
P: 0.0000 0.0000 0.0000 (multiplicity 2)
H: 0.0000 0.0000 0.5000 (multiplicity 2)
Br: 0.0000 0.0000 0.2102 (multiplicity 4)
Br: 0.2458 0.2458 0.5000 (multiplicity 8)